No. 1
For Ta7Mo, a cell relaxed with PBE gives the simulated X-ray diffraction stick pattern in this record (Cu Kα X-rays).

Top 10 peaks for 2θ from 10° to 80°, in order of rising 2θ:
- d 3.121, 28.6 deg, rel. 0.6
- d 2.662, 33.7 deg, rel. 0.6
- d 2.581, 34.8 deg, rel. 0.8
- d 2.333, 38.6 deg, rel. 100.0
- d 2.322, 38.8 deg, rel. 19.9
- d 1.656, 55.5 deg, rel. 7.0
- d 1.644, 55.9 deg, rel. 13.6
- d 1.349, 69.7 deg, rel. 14.1
- d 1.345, 69.9 deg, rel. 13.7
- d 1.343, 70.1 deg, rel. 14.1

a = 5.4616 Å, b = 5.4616 Å, c = 6.6241 Å
α = 107.68°, β = 107.68°, γ = 50.32°
Sites, in units of the cell vectors:
Ta: 0.0000 0.0000 0.0000
Ta: 0.2413 0.2413 0.3742
Ta: 0.2461 0.2461 0.8697
Ta: 0.4981 0.4981 0.2554
Ta: 0.5019 0.5019 0.7446
Ta: 0.7539 0.7539 0.1303
Ta: 0.7587 0.7587 0.6258
Mo: 0.0000 0.0000 0.5000



No. 2
For Ge4IrPt, a cell relaxed with PBE gives the simulated X-ray diffraction stick pattern in this record (Cu Kα X-rays).

Top 10 peaks for 2θ from 10° to 80°, in order of rising 2θ:
- d 3.472, 25.7 deg, rel. 100.0
- d 2.127, 42.5 deg, rel. 84.9
- d 2.124, 42.6 deg, rel. 42.3
- d 1.815, 50.3 deg, rel. 32.9
- d 1.810, 50.4 deg, rel. 16.3
- d 1.505, 61.6 deg, rel. 14.1
- d 1.500, 61.9 deg, rel. 7.0
- d 1.379, 68.0 deg, rel. 11.8
- d 1.229, 77.7 deg, rel. 21.5
- d 1.227, 77.9 deg, rel. 17.9

a = 6.0210 Å, b = 6.0210 Å, c = 7.3507 Å
α = 114.10°, β = 114.10°, γ = 90.08°
Sites, in units of the cell vectors:
Ge: 0.0001 0.2445 0.9998
Ge: 0.9999 0.7555 0.0002
Ge: 0.2445 0.0001 0.4998
Ge: 0.2447 0.5001 0.5000
Ge: 0.5001 0.2447 0.0000
Ge: 0.4999 0.7553 0.0000
Ge: 0.7553 0.4999 0.5000
Ge: 0.7555 0.9999 0.5002
Ir: 0.1252 0.8748 0.7500
Ir: 0.8748 0.1252 0.2500
Pt: 0.3751 0.6249 0.2500
Pt: 0.6249 0.3751 0.7500



No. 3
For Tl6Hg2PdAu, a cell relaxed with PBE gives the simulated X-ray diffraction stick pattern in this record (Cu Kα X-rays).

Top 10 peaks for 2θ from 10° to 80°, in order of rising 2θ:
- d 3.779, 23.5 deg, rel. 30.1
- d 3.262, 27.3 deg, rel. 30.2
- d 3.205, 27.8 deg, rel. 60.2
- d 3.179, 28.1 deg, rel. 60.7
- d 3.082, 29.0 deg, rel. 41.8
- d 3.027, 29.5 deg, rel. 47.5
- d 2.743, 32.6 deg, rel. 100.0
- d 2.660, 33.7 deg, rel. 56.2
- d 2.626, 34.1 deg, rel. 36.0
- d 1.877, 48.5 deg, rel. 34.0

a = 7.4006 Å, b = 7.5122 Å, c = 7.5579 Å
α = 60.39°, β = 89.24°, γ = 61.43°
Sites, in units of the cell vectors:
Tl: 0.1251 0.0812 0.1380
Tl: 0.2863 0.5081 0.6928
Tl: 0.3342 0.9841 0.6752
Tl: 0.6658 0.0159 0.3248
Tl: 0.7137 0.4919 0.3072
Tl: 0.8749 0.9188 0.8620
Hg: 0.2574 0.4961 0.2705
Hg: 0.7426 0.5039 0.7295
Pd: 0.0000 0.0000 0.5000
Au: 0.5000 0.0000 0.0000



No. 4
For Ti13In2, a cell relaxed with PBE gives the simulated X-ray diffraction stick pattern in this record (Cu Kα X-rays).

Top 10 peaks for 2θ from 10° to 80°, in order of rising 2θ:
- d 5.988, 14.8 deg, rel. 78.0
- d 4.082, 21.8 deg, rel. 27.4
- d 3.598, 24.7 deg, rel. 27.9
- d 3.219, 27.7 deg, rel. 28.6
- d 2.479, 36.2 deg, rel. 69.6
- d 2.341, 38.4 deg, rel. 100.0
- d 2.301, 39.1 deg, rel. 23.8
- d 2.193, 41.2 deg, rel. 66.7
- d 1.799, 50.7 deg, rel. 39.4
- d 1.264, 75.2 deg, rel. 23.1

a = 8.3168 Å, b = 8.3168 Å, c = 8.3168 Å
α = 51.26°, β = 51.26°, γ = 51.26°
Sites, in units of the cell vectors:
Ti: 0.0000 0.0000 0.0000
Ti: 0.1194 0.1194 0.4942
Ti: 0.1194 0.4942 0.1194
Ti: 0.2418 0.2418 0.6173
Ti: 0.2418 0.6173 0.2418
Ti: 0.3827 0.7582 0.7582
Ti: 0.4942 0.1194 0.1194
Ti: 0.5058 0.8806 0.8806
Ti: 0.6173 0.2418 0.2418
Ti: 0.7582 0.3827 0.7582
Ti: 0.7582 0.7582 0.3827
Ti: 0.8806 0.5058 0.8806
Ti: 0.8806 0.8806 0.5058
In: 0.1337 0.1337 0.1337
In: 0.8663 0.8663 0.8663



No. 5
For Na2Hg5BiPb, a cell relaxed with PBE gives the simulated X-ray diffraction stick pattern in this record (Cu Kα X-rays).

Top 10 peaks for 2θ from 10° to 80°, in order of rising 2θ:
- d 3.946, 22.5 deg, rel. 25.8
- d 3.301, 27.0 deg, rel. 76.7
- d 2.952, 30.3 deg, rel. 15.0
- d 2.897, 30.9 deg, rel. 29.4
- d 2.534, 35.4 deg, rel. 100.0
- d 2.334, 38.6 deg, rel. 16.1
- d 2.226, 40.5 deg, rel. 20.5
- d 1.973, 46.0 deg, rel. 20.0
- d 1.717, 53.4 deg, rel. 25.1
- d 1.372, 68.4 deg, rel. 18.5

a = 8.9451 Å, b = 8.9451 Å, c = 8.9451 Å
α = 117.09°, β = 117.09°, γ = 95.12°
Sites, in units of the cell vectors:
Na: 0.1133 0.6133 0.7266
Na: 0.3867 0.1133 0.5000
Na: 0.6133 0.8867 0.5000
Na: 0.8867 0.3867 0.2734
Hg: 0.0000 0.0000 0.0000
Hg: 0.0697 0.1678 0.5000
Hg: 0.1678 0.6678 0.0982
Hg: 0.3322 0.4303 0.5000
Hg: 0.4303 0.9303 0.0982
Hg: 0.5000 0.5000 0.0000
Hg: 0.5697 0.0697 0.9018
Hg: 0.6678 0.5697 0.5000
Hg: 0.8322 0.3322 0.9018
Hg: 0.9303 0.8322 0.5000
Bi: 0.2500 0.7500 0.5000
Bi: 0.7500 0.2500 0.5000
Pb: 0.2500 0.2500 0.0000
Pb: 0.7500 0.7500 0.0000



No. 6
For Tb2ThSc2, a cell relaxed with PBE gives the simulated X-ray diffraction stick pattern in this record (Cu Kα X-rays).

Top 10 peaks for 2θ from 10° to 80°, in order of rising 2θ:
- d 5.197, 17.1 deg, rel. 37.5
- d 4.028, 22.1 deg, rel. 32.7
- d 3.298, 27.0 deg, rel. 25.1
- d 2.803, 31.9 deg, rel. 98.5
- d 2.767, 32.4 deg, rel. 100.0
- d 2.636, 34.0 deg, rel. 45.3
- d 2.598, 34.5 deg, rel. 48.4
- d 1.851, 49.2 deg, rel. 35.6
- d 1.525, 60.7 deg, rel. 21.0
- d 1.442, 64.6 deg, rel. 26.6

a = 8.5425 Å, b = 8.5425 Å, c = 6.7603 Å
α = 90.00°, β = 90.00°, γ = 144.05°
Sites, in units of the cell vectors:
Tb: 0.0017 0.9983 0.5000
Tb: 0.2016 0.7984 0.9847
Tb: 0.7984 0.2016 0.4847
Tb: 0.9983 0.0017 0.0000
Th: 0.3927 0.6073 0.7421
Th: 0.6073 0.3927 0.2421
Sc: 0.1993 0.8007 0.4879
Sc: 0.3865 0.6135 0.2386
Sc: 0.6135 0.3865 0.7386
Sc: 0.8007 0.1993 0.9879



No. 7
For MnNbFe10, a cell relaxed with PBE gives the simulated X-ray diffraction stick pattern in this record (Cu Kα X-rays).

Top 10 peaks for 2θ from 10° to 80°, in order of rising 2θ:
- d 4.054, 21.9 deg, rel. 10.2
- d 2.848, 31.4 deg, rel. 25.2
- d 2.340, 38.5 deg, rel. 22.6
- d 2.027, 44.7 deg, rel. 29.7
- d 2.020, 44.9 deg, rel. 100.0
- d 2.001, 45.3 deg, rel. 34.7
- d 1.808, 50.5 deg, rel. 27.2
- d 1.521, 60.9 deg, rel. 10.8
- d 1.424, 65.6 deg, rel. 17.4
- d 1.281, 74.0 deg, rel. 13.4

a = 4.0023 Å, b = 4.6856 Å, c = 8.0997 Å
α = 90.00°, β = 90.00°, γ = 90.00°
Sites, in units of the cell vectors:
Mn: 0.0000 0.0000 0.0000
Nb: 0.0000 0.5000 0.5000
Fe: 0.0000 0.0000 0.3328
Fe: 0.0000 0.0000 0.6672
Fe: 0.0000 0.5000 0.1658
Fe: 0.0000 0.5000 0.8342
Fe: 0.5000 0.0000 0.5000
Fe: 0.5000 0.2498 0.2511
Fe: 0.5000 0.2498 0.7489
Fe: 0.5000 0.5000 0.0000
Fe: 0.5000 0.7502 0.2511
Fe: 0.5000 0.7502 0.7489



No. 8
For Tb7PmAl5, a cell relaxed with PBE gives the simulated X-ray diffraction stick pattern in this record (Cu Kα X-rays).

Top 10 peaks for 2θ from 10° to 80°, in order of rising 2θ:
- d 3.723, 23.9 deg, rel. 45.0
- d 3.107, 28.7 deg, rel. 41.2
- d 3.075, 29.0 deg, rel. 90.3
- d 2.993, 29.9 deg, rel. 92.6
- d 2.700, 33.2 deg, rel. 34.6
- d 2.659, 33.7 deg, rel. 69.0
- d 2.618, 34.3 deg, rel. 100.0
- d 2.404, 37.4 deg, rel. 28.8
- d 2.371, 37.9 deg, rel. 59.0
- d 1.543, 60.0 deg, rel. 59.5

a = 8.0645 Å, b = 8.0645 Å, c = 8.0645 Å
α = 135.17°, β = 100.83°, γ = 95.91°
Sites, in units of the cell vectors:
Tb: 0.0000 0.0000 0.0000
Tb: 0.0115 0.6747 0.3368
Tb: 0.3286 0.3286 0.0000
Tb: 0.3379 0.6747 0.6632
Tb: 0.4655 0.1594 0.3062
Tb: 0.8532 0.1594 0.6938
Tb: 0.8950 0.3950 0.5000
Pm: 0.6548 0.6548 0.0000
Al: 0.1802 0.1719 0.5103
Al: 0.1802 0.6699 0.0082
Al: 0.4272 0.9272 0.5000
Al: 0.6616 0.1719 0.9918
Al: 0.6616 0.6699 0.4897



No. 9
For La2Cu5Ge3, a cell relaxed with PBE gives the simulated X-ray diffraction stick pattern in this record (Cu Kα X-rays).

Top 10 peaks for 2θ from 10° to 80°, in order of rising 2θ:
- d 2.618, 34.3 deg, rel. 100.0
- d 2.595, 34.6 deg, rel. 73.8
- d 2.570, 34.9 deg, rel. 71.3
- d 2.138, 42.3 deg, rel. 91.9
- d 1.802, 50.7 deg, rel. 37.1
- d 1.663, 55.3 deg, rel. 25.0
- d 1.650, 55.7 deg, rel. 24.2
- d 1.522, 60.9 deg, rel. 15.3
- d 1.309, 72.1 deg, rel. 27.1
- d 1.300, 72.7 deg, rel. 15.5

a = 8.3685 Å, b = 8.3685 Å, c = 8.3685 Å
α = 107.19°, β = 88.23°, γ = 137.34°
Sites, in units of the cell vectors:
La: 0.1245 0.2491 0.3736
La: 0.3755 0.7491 0.1246
La: 0.6245 0.2509 0.8754
La: 0.8755 0.7509 0.6264
Cu: 0.0067 0.7500 0.2567
Cu: 0.1243 0.8773 0.0016
Cu: 0.2500 0.7500 0.5000
Cu: 0.3757 0.3773 0.7530
Cu: 0.4933 0.7500 0.7433
Cu: 0.5067 0.2500 0.2567
Cu: 0.6243 0.6227 0.2470
Cu: 0.7500 0.2500 0.5000
Cu: 0.8757 0.1227 0.9984
Cu: 0.9933 0.2500 0.7433
Ge: 0.1263 0.6338 0.7601
Ge: 0.2500 0.2500 0.0000
Ge: 0.3737 0.1338 0.5075
Ge: 0.6263 0.8662 0.4925
Ge: 0.7500 0.7500 0.0000
Ge: 0.8737 0.3662 0.2399



No. 10
For Er6CuAg5, a cell relaxed with PBE gives the simulated X-ray diffraction stick pattern in this record (Cu Kα X-rays).

Top 10 peaks for 2θ from 10° to 80°, in order of rising 2θ:
- d 3.596, 24.8 deg, rel. 5.9
- d 3.556, 25.0 deg, rel. 2.9
- d 2.543, 35.3 deg, rel. 50.8
- d 2.528, 35.5 deg, rel. 100.0
- d 1.798, 50.8 deg, rel. 17.8
- d 1.778, 51.4 deg, rel. 8.6
- d 1.465, 63.5 deg, rel. 35.6
- d 1.457, 63.9 deg, rel. 17.5
- d 1.271, 74.7 deg, rel. 5.5
- d 1.264, 75.2 deg, rel. 10.8

a = 8.0378 Å, b = 8.0378 Å, c = 7.1112 Å
α = 90.00°, β = 90.00°, γ = 143.10°
Sites, in units of the cell vectors:
Er: 0.0000 0.0000 0.2435
Er: 0.0000 0.0000 0.7565
Er: 0.3366 0.6634 0.2468
Er: 0.3366 0.6634 0.7532
Er: 0.6634 0.3366 0.2468
Er: 0.6634 0.3366 0.7532
Cu: 0.5000 0.5000 0.0000
Ag: 0.1682 0.8318 0.5000
Ag: 0.1686 0.8314 0.0000
Ag: 0.5000 0.5000 0.5000
Ag: 0.8314 0.1686 0.0000
Ag: 0.8318 0.1682 0.5000



No. 11
For Mg3ZrNi8, a cell relaxed with PBE gives the simulated X-ray diffraction stick pattern in this record (Cu Kα X-rays).

Top 10 peaks for 2θ from 10° to 80°, in order of rising 2θ:
- d 7.893, 11.2 deg, rel. 7.3
- d 3.954, 22.5 deg, rel. 29.9
- d 2.421, 37.1 deg, rel. 15.9
- d 2.065, 43.8 deg, rel. 100.0
- d 1.978, 45.9 deg, rel. 41.3
- d 1.973, 46.0 deg, rel. 13.1
- d 1.712, 53.5 deg, rel. 11.1
- d 1.318, 71.6 deg, rel. 21.2
- d 1.212, 79.0 deg, rel. 12.7
- d 1.209, 79.2 deg, rel. 12.5

a = 8.3744 Å, b = 8.3744 Å, c = 8.3744 Å
α = 33.64°, β = 33.64°, γ = 33.64°
Sites, in units of the cell vectors:
Mg: 0.0000 0.0000 0.0000
Mg: 0.1223 0.1223 0.1223
Mg: 0.6297 0.6297 0.6297
Zr: 0.5027 0.5027 0.5027
Ni: 0.0641 0.5644 0.5644
Ni: 0.0647 0.0647 0.5614
Ni: 0.0647 0.5614 0.0647
Ni: 0.3139 0.3139 0.3139
Ni: 0.5614 0.0647 0.0647
Ni: 0.5644 0.0641 0.5644
Ni: 0.5644 0.5644 0.0641
Ni: 0.8136 0.8136 0.8136



No. 12
For Pr4Er15Sc, a cell relaxed with PBE gives the simulated X-ray diffraction stick pattern in this record (Cu Kα X-rays).

Top 10 peaks for 2θ from 10° to 80°, in order of rising 2θ:
- d 2.888, 31.0 deg, rel. 100.0
- d 2.506, 35.8 deg, rel. 34.3
- d 2.491, 36.1 deg, rel. 16.2
- d 1.772, 51.6 deg, rel. 12.2
- d 1.767, 51.7 deg, rel. 23.2
- d 1.510, 61.4 deg, rel. 28.6
- d 1.504, 61.7 deg, rel. 13.0
- d 1.444, 64.5 deg, rel. 11.9
- d 1.253, 75.9 deg, rel. 3.9
- d 1.246, 76.5 deg, rel. 1.6

a = 5.0124 Å, b = 5.0124 Å, c = 24.9128 Å
α = 90.00°, β = 90.00°, γ = 90.00°
Sites, in units of the cell vectors:
Pr: 0.0000 0.0000 0.1015
Pr: 0.0000 0.0000 0.3027
Pr: 0.0000 0.0000 0.6973
Pr: 0.0000 0.0000 0.8985
Er: 0.0000 0.5000 0.0000
Er: 0.0000 0.5000 0.2027
Er: 0.0000 0.5000 0.4053
Er: 0.0000 0.5000 0.5947
Er: 0.0000 0.5000 0.7973
Er: 0.5000 0.0000 0.0000
Er: 0.5000 0.0000 0.2027
Er: 0.5000 0.0000 0.4053
Er: 0.5000 0.0000 0.5947
Er: 0.5000 0.0000 0.7973
Er: 0.5000 0.5000 0.1012
Er: 0.5000 0.5000 0.3039
Er: 0.5000 0.5000 0.5000
Er: 0.5000 0.5000 0.6961
Er: 0.5000 0.5000 0.8988
Sc: 0.0000 0.0000 0.5000